# 1
Structure and computed powder diffraction line list of NdDyAg6 (DFT lattice parameters and positions (GGA-PBE); Cu Kα, 1.54184 Å).
Neutral-atom scattering factors, no anomalous dispersion.

Structural model:
```
NdDyAg6
1.0
5.064 0.000 0.000
0.000 6.283 0.000
0.000 0.000 5.226
Nd Dy Ag
1 1 6
Cartesian
0.000 0.000 0.000 Nd
2.532 3.142 3.596 Dy
0.000 1.665 2.636 Ag
0.000 3.142 0.115 Ag
0.000 4.619 2.636 Ag
2.532 0.000 3.386 Ag
2.532 1.588 0.958 Ag
2.532 4.695 0.958 Ag
```

Principal peaks in the range 2θ from 10° to 90°, by angle:
2θ/deg	I_rel
33.27	248
34.32	102
35.45	410
37.84	1000
38.78	477
49.41	159
60.80	153
65.23	191
72.39	192
72.67	137

# 2
Structure and computed powder diffraction line list of Dy2TlNiAg (DFT lattice parameters and positions (GGA-PBE); Cu Kα, 1.54184 Å).
Neutral-atom scattering factors, no anomalous dispersion.

Structural model:
```
Dy2TlNiAg
1.0
3.698 0.000 0.000
0.000 4.149 0.000
0.000 0.000 14.763
Dy Tl Ni Ag
4 2 2 2
Cartesian
0.000 0.000 0.000 Dy
0.000 0.000 3.887 Dy
0.000 2.075 7.381 Dy
0.000 2.075 11.268 Dy
1.849 0.000 9.398 Tl
1.849 2.075 2.017 Tl
1.849 0.000 12.180 Ni
1.849 2.075 4.798 Ni
1.849 0.000 6.362 Ag
1.849 2.075 13.743 Ag
```

Principal peaks in the range 2θ from 10° to 90°, by angle:
2θ/deg	I_rel
28.13	316
33.01	1000
34.33	635
37.38	616
43.63	250
49.31	222
54.77	134
56.66	304
63.46	200
67.93	170

# 3
Structure and computed powder diffraction line list of Dy3AgO6 (DFT lattice parameters and positions (GGA-PBE); Cu Kα, 1.54184 Å).
Neutral-atom scattering factors, no anomalous dispersion.

Structural model:
```
Dy3AgO6
1.0
3.566 0.000 0.000
-0.122 5.534 0.000
-1.593 -0.044 6.816
Dy Ag O
3 1 6
Cartesian
0.000 0.000 0.000 Dy
0.142 2.561 5.008 Dy
1.709 2.929 1.808 Dy
-0.796 -0.022 3.408 Ag
-0.074 4.400 1.957 O
-0.060 1.726 2.665 O
0.065 4.073 6.628 O
1.786 1.418 0.188 O
1.911 3.764 4.151 O
1.925 1.090 4.859 O
```

Principal peaks in the range 2θ from 10° to 90°, by angle:
2θ/deg	I_rel
30.07	577
30.72	1000
30.92	712
32.35	700
41.12	174
46.08	250
52.74	175
53.80	170
55.91	257
56.91	206

# 4
Structure and computed powder diffraction line list of Dy2Ag2O5 (DFT lattice parameters and positions (GGA-PBE); Cu Kα, 1.54184 Å).
Neutral-atom scattering factors, no anomalous dispersion.

Structural model:
```
Dy2Ag2O5
1.0
4.041 0.000 0.000
0.000 4.041 0.000
0.000 0.000 8.620
Dy Ag O
2 2 5
Cartesian
0.000 0.000 2.136 Dy
0.000 0.000 6.484 Dy
2.020 2.020 0.000 Ag
2.020 2.020 4.310 Ag
0.000 0.000 4.310 O
0.000 2.020 1.350 O
0.000 2.020 7.270 O
2.020 0.000 1.350 O
2.020 0.000 7.270 O
```

Principal peaks in the range 2θ from 10° to 90°, by angle:
2θ/deg	I_rel
30.32	1000
31.31	402
41.92	98
44.86	234
53.24	260
55.11	368
63.07	117
69.43	91
86.56	104
89.08	119

# 5
Structure and computed powder diffraction line list of DyAg3Pb4O12 (DFT lattice parameters and positions (GGA-PBE); Cu Kα, 1.54184 Å).
Neutral-atom scattering factors, no anomalous dispersion.

Structural model:
```
DyAg3Pb4O12
1.0
-4.089 4.089 4.089
4.089 -4.089 4.089
4.089 4.089 -4.089
Dy Ag Pb O
1 3 4 12
Cartesian
0.000 0.000 0.000 Dy
4.089 0.000 0.000 Ag
0.000 4.089 0.000 Ag
0.000 0.000 4.089 Ag
2.045 2.045 -2.045 Pb
2.045 -2.045 2.045 Pb
-2.045 2.045 2.045 Pb
2.045 2.045 2.045 Pb
4.089 2.753 -1.760 O
2.329 0.000 1.336 O
5.849 0.000 1.336 O
1.336 2.329 0.000 O
2.753 -1.760 4.089 O
0.000 1.336 2.329 O
4.089 2.753 1.760 O
1.336 5.849 0.000 O
2.753 1.760 4.089 O
-1.760 4.089 2.753 O
1.760 4.089 2.753 O
0.000 1.336 5.849 O
```

Principal peaks in the range 2θ from 10° to 90°, by angle:
2θ/deg	I_rel
21.73	86
30.93	1000
44.30	229
49.87	48
55.01	463
64.45	134
68.89	19
73.19	181
81.55	45
89.73	241

# 6
Structure and computed powder diffraction line list of PrDyAg2O4 (DFT lattice parameters and positions (GGA-PBE); Cu Kα, 1.54184 Å).
Neutral-atom scattering factors, no anomalous dispersion.

Structural model:
```
PrDyAg2O4
1.0
3.604 0.000 0.000
-1.802 3.121 0.000
0.000 0.000 12.509
Pr Dy Ag O
1 1 2 4
Cartesian
0.000 0.000 0.000 Pr
0.000 0.000 6.255 Dy
0.000 2.081 3.198 Ag
1.802 1.040 9.311 Ag
0.000 2.081 1.137 O
0.000 2.081 5.262 O
1.802 1.040 7.248 O
1.802 1.040 11.373 O
```

Principal peaks in the range 2θ from 10° to 90°, by angle:
2θ/deg	I_rel
28.55	439
29.49	405
32.05	1000
40.85	142
50.65	293
52.81	317
59.16	305
61.21	156
81.50	105
83.36	132

# 7
Structure and computed powder diffraction line list of DyAg3Sn4O12 (DFT lattice parameters and positions (GGA-PBE); Cu Kα, 1.54184 Å).
Neutral-atom scattering factors, no anomalous dispersion.

Structural model:
```
DyAg3Sn4O12
1.0
-3.941 3.941 3.941
3.941 -3.941 3.941
3.941 3.941 -3.941
Dy Ag Sn O
1 3 4 12
Cartesian
0.000 0.000 0.000 Dy
3.941 0.000 0.000 Ag
0.000 3.941 0.000 Ag
0.000 0.000 3.941 Ag
1.971 1.971 -1.971 Sn
1.971 -1.971 1.971 Sn
-1.971 1.971 1.971 Sn
1.971 1.971 1.971 Sn
3.941 2.530 -1.719 O
2.223 0.000 1.411 O
5.660 0.000 1.411 O
1.411 2.223 0.000 O
2.530 -1.719 3.941 O
0.000 1.411 2.223 O
3.941 2.530 1.719 O
1.411 5.660 0.000 O
2.530 1.719 3.941 O
-1.719 3.941 2.530 O
1.719 3.941 2.530 O
0.000 1.411 5.660 O
```

Principal peaks in the range 2θ from 10° to 90°, by angle:
2θ/deg	I_rel
15.90	21
32.12	1000
36.03	14
39.61	6
42.93	18
46.06	251
57.26	458
67.18	142
76.42	178
85.31	48

# 8
Structure and computed powder diffraction line list of DySi2AgOs (DFT lattice parameters and positions (GGA-PBE); Cu Kα, 1.54184 Å).
Neutral-atom scattering factors, no anomalous dispersion.

Structural model:
```
DySi2AgOs
1.0
4.119 0.000 0.000
0.000 4.119 0.000
0.000 0.000 10.183
Dy Si Ag Os
2 4 2 2
Cartesian
0.000 0.000 0.000 Dy
2.060 2.060 5.092 Dy
0.000 0.000 3.913 Si
0.000 0.000 6.270 Si
2.060 2.060 1.178 Si
2.060 2.060 9.005 Si
0.000 2.060 2.546 Ag
2.060 0.000 7.637 Ag
0.000 2.060 7.637 Os
2.060 0.000 2.546 Os
```

Principal peaks in the range 2θ from 10° to 90°, by angle:
2θ/deg	I_rel
17.42	116
23.29	248
34.23	217
35.25	191
35.51	1000
43.96	337
57.56	187
63.43	164
63.92	110
75.31	223

# 9
Structure and computed powder diffraction line list of DyAgTePbS2 (DFT lattice parameters and positions (GGA-PBE); Cu Kα, 1.54184 Å).
Neutral-atom scattering factors, no anomalous dispersion.

Structural model:
```
DyAgTePbS2
1.0
2.042 -7.055 0.000
2.042 7.055 0.000
0.000 0.000 11.172
Dy Ag Te Pb S
2 2 2 2 4
Cartesian
0.000 0.000 0.000 Dy
0.000 0.000 5.586 Dy
2.042 0.296 8.379 Ag
2.042 -0.296 2.793 Ag
2.042 5.442 8.379 Te
2.042 -5.442 2.793 Te
2.042 4.119 2.793 Pb
2.042 -4.119 8.379 Pb
2.042 1.739 6.309 S
2.042 1.739 10.449 S
2.042 -1.739 0.723 S
2.042 -1.739 4.863 S
```

Principal peaks in the range 2θ from 10° to 90°, by angle:
2θ/deg	I_rel
15.87	280
20.28	266
30.07	445
32.05	349
33.19	1000
37.88	152
39.15	159
44.37	176
45.62	154
57.84	163

# 10
Structure and computed powder diffraction line list of DyAgTeS (DFT lattice parameters and positions (GGA-PBE); Cu Kα, 1.54184 Å).
Neutral-atom scattering factors, no anomalous dispersion.

Structural model:
```
DyAgTeS
1.0
4.391 0.000 0.000
0.000 6.854 0.000
-0.259 0.000 6.855
Dy Ag Te S
2 2 2 2
Cartesian
0.885 0.000 2.010 Dy
3.248 3.427 4.844 Dy
-0.040 3.286 1.693 Ag
4.172 6.713 5.162 Ag
1.060 1.956 6.484 Te
3.073 5.383 0.370 Te
0.992 4.746 3.770 S
3.140 1.319 3.085 S
```

Principal peaks in the range 2θ from 10° to 90°, by angle:
2θ/deg	I_rel
24.08	495
26.00	372
27.79	817
29.13	536
32.54	534
35.44	452
36.31	359
37.10	1000
44.72	336
44.89	371

# 11
Structure and computed powder diffraction line list of Dy2Ag2TeS3 (DFT lattice parameters and positions (GGA-PBE); Cu Kα, 1.54184 Å).
Neutral-atom scattering factors, no anomalous dispersion.

Structural model:
```
Dy2Ag2TeS3
1.0
9.834 0.000 0.000
0.000 9.157 0.000
-0.150 0.000 4.229
Dy Ag Te S
4 4 2 6
Cartesian
0.000 0.000 0.000 Dy
0.305 4.579 1.835 Dy
4.917 4.579 0.000 Dy
5.222 0.000 1.835 Dy
2.575 2.277 1.106 Ag
2.575 6.881 1.106 Ag
7.493 2.302 1.106 Ag
7.493 6.855 1.106 Ag
2.921 0.000 3.840 Te
7.839 4.579 3.840 Te
0.104 1.818 2.063 S
0.104 7.339 2.063 S
2.013 4.579 4.073 S
5.021 2.760 2.063 S
5.021 6.397 2.063 S
6.930 0.000 4.073 S
```

Principal peaks in the range 2θ from 10° to 90°, by angle:
2θ/deg	I_rel
24.62	344
25.17	700
26.61	784
28.74	565
33.73	714
35.44	457
36.59	1000
37.66	396
39.36	584
47.35	464

# 12
Structure and computed powder diffraction line list of DyAgTeS (DFT lattice parameters and positions (GGA-PBE); Cu Kα, 1.54184 Å).
Neutral-atom scattering factors, no anomalous dispersion.

Structural model:
```
DyAgTeS
1.0
9.056 0.000 0.000
0.000 10.435 0.000
0.000 0.000 4.304
Dy Ag Te S
4 4 4 4
Cartesian
0.000 0.000 0.000 Dy
0.000 5.217 1.693 Dy
4.528 0.000 1.693 Dy
4.528 5.217 0.000 Dy
2.264 2.609 0.482 Ag
2.264 7.826 0.482 Ag
6.792 2.609 0.482 Ag
6.792 7.826 0.482 Ag
0.000 2.184 2.125 Te
0.000 8.251 2.125 Te
4.528 3.034 2.125 Te
4.528 7.401 2.125 Te
1.795 5.217 3.943 S
2.733 0.000 3.943 S
6.324 0.000 3.943 S
7.261 5.217 3.943 S
```

Principal peaks in the range 2θ from 10° to 90°, by angle:
2θ/deg	I_rel
19.60	363
24.44	512
26.06	339
28.62	669
33.47	1000
34.38	603
34.61	871
37.39	308
39.82	525
45.00	560